Simulated X-ray powder pattern of Ba4VN4 for Cu Kα (weighted mean of Kα1 and Kα2), from DFT lattice parameters and positions (PBE).

Peak list (10 most intense, 2θ from 15° to 90°, by intensity)
2θ = 28.76°, intensity 100
2θ = 28.32°, intensity 95
2θ = 27.39°, intensity 92
2θ = 27.70°, intensity 85
2θ = 26.59°, intensity 68
2θ = 29.85°, intensity 58
2θ = 31.13°, intensity 49
2θ = 38.60°, intensity 35
2θ = 26.81°, intensity 30
2θ = 22.37°, intensity 29

Structural model:
Cell: 6.7717 7.2861 9.9641 Å, 69.11 75.40 69.31°
Fractional positions:
Ba  0.0872  0.2449  0.4445
Ba  0.1734  0.1798  0.0271
Ba  0.3892  0.6975  0.8545
Ba  0.4104  0.2950  0.6564
Ba  0.5896  0.7050  0.3436
Ba  0.6108  0.3025  0.1455
Ba  0.8266  0.8202  0.9729
Ba  0.9128  0.7551  0.5555
V  0.1774  0.6843  0.2182
V  0.8226  0.3157  0.7818
N  0.0620  0.0966  0.7855
N  0.1415  0.4936  0.1523
N  0.2452  0.5532  0.4055
N  0.4133  0.7616  0.1040
N  0.5867  0.2384  0.8960
N  0.7548  0.4468  0.5945
N  0.8585  0.5064  0.8477
N  0.9380  0.9034  0.2145